# LaTb5Cu6
Theoretical X-ray powder pattern, Cu Kα, 1.54184 Å. Input: DFT lattice parameters and positions (GGA-PBE).
No peak broadening, texture or thermal motion is included.

Largest 10 diffraction maxima, low angle first, 2θ from 10° to 90°:
| 2theta | d_spacing | I/Imax |
| --- | --- | --- |
| 25.18 | 3.537 | 9 |
| 25.29 | 3.522 | 9 |
| 25.55 | 3.487 | 9 |
| 35.93 | 2.499 | 26 |
| 36.04 | 2.492 | 26 |
| 36.22 | 2.480 | 100 |
| 51.69 | 1.768 | 9 |
| 51.92 | 1.761 | 9 |
| 64.84 | 1.438 | 18 |
| 65.29 | 1.429 | 17 |

a = 4.9838 Å, b = 6.9730 Å, c = 7.8917 Å
α = 90.00°, β = 108.16°, γ = 90.00°
Element x y z (fractional)
La (0.0000, 0.0000, 0.0000)
Tb (0.0000, 0.5000, 0.0000)
Tb (0.3308, 0.0000, 0.6624)
Tb (0.3338, 0.5000, 0.6688)
Tb (0.6662, 0.5000, 0.3312)
Tb (0.6692, 0.0000, 0.3376)
Cu (0.1724, 0.2555, 0.3422)
Cu (0.1724, 0.7445, 0.3422)
Cu (0.5000, 0.2653, 0.0000)
Cu (0.5000, 0.7347, 0.0000)
Cu (0.8276, 0.2555, 0.6578)
Cu (0.8276, 0.7445, 0.6578)



# TaFeH2
Theoretical X-ray powder pattern, Cu Kα, 1.54184 Å. Input: DFT lattice parameters and positions (GGA-PBE).
No peak broadening, texture or thermal motion is included.

Largest 10 diffraction maxima, low angle first, 2θ from 10° to 90°:
| 2theta | d_spacing | I/Imax |
| --- | --- | --- |
| 23.47 | 3.790 | 28 |
| 31.83 | 2.811 | 44 |
| 35.02 | 2.562 | 42 |
| 35.32 | 2.541 | 100 |
| 36.54 | 2.459 | 37 |
| 44.13 | 2.052 | 98 |
| 53.49 | 1.713 | 18 |
| 55.41 | 1.658 | 20 |
| 58.57 | 1.576 | 29 |
| 62.84 | 1.479 | 14 |

a = 4.1067 Å, b = 9.8367 Å, c = 3.4259 Å
α = 90.00°, β = 90.00°, γ = 90.00°
Element x y z (fractional)
Ta (0.0000, 0.1287, 0.2500)
Ta (0.0000, 0.8713, 0.7500)
Ta (0.5000, 0.3713, 0.7500)
Ta (0.5000, 0.6287, 0.2500)
Fe (0.0000, 0.4231, 0.2500)
Fe (0.0000, 0.5769, 0.7500)
Fe (0.5000, 0.0769, 0.7500)
Fe (0.5000, 0.9231, 0.2500)
H (0.2274, 0.1969, 0.7500)
H (0.2274, 0.8031, 0.2500)
H (0.2726, 0.3031, 0.2500)
H (0.2726, 0.6969, 0.7500)
H (0.7274, 0.3031, 0.2500)
H (0.7274, 0.6969, 0.7500)
H (0.7726, 0.1969, 0.7500)
H (0.7726, 0.8031, 0.2500)



# Li4TiCu3P4O16
Theoretical X-ray powder pattern, Cu Kα, 1.54184 Å. Input: DFT lattice parameters and positions (GGA-PBE).
No peak broadening, texture or thermal motion is included.

Largest 10 diffraction maxima, low angle first, 2θ from 10° to 90°:
| 2theta | d_spacing | I/Imax |
| --- | --- | --- |
| 17.35 | 5.112 | 38 |
| 19.80 | 4.485 | 100 |
| 23.78 | 3.742 | 22 |
| 24.99 | 3.563 | 42 |
| 28.24 | 3.161 | 17 |
| 28.64 | 3.116 | 70 |
| 34.08 | 2.631 | 25 |
| 34.51 | 2.599 | 24 |
| 36.98 | 2.431 | 21 |
| 59.30 | 1.558 | 17 |

a = 5.0069 Å, b = 6.2448 Å, c = 10.2250 Å
α = 90.54°, β = 90.31°, γ = 93.51°
Element x y z (fractional)
Li (0.0000, 0.0000, 0.0000)
Li (0.0779, 0.5302, 0.0938)
Li (0.4711, 0.4661, 0.7646)
Li (0.7091, 0.9443, 0.5104)
Ti (0.6317, 0.2762, 0.3403)
Cu (0.1865, 0.7398, 0.4111)
Cu (0.5142, 0.7726, 0.9308)
Cu (0.9357, 0.2390, 0.7857)
P (0.0141, 0.7450, 0.7268)
P (0.2212, 0.2566, 0.5155)
P (0.5198, 0.2629, 0.0317)
P (0.6658, 0.7625, 0.2260)
O (0.2677, 0.2595, 0.6615)
O (0.3150, 0.7352, 0.7570)
O (0.3596, 0.7323, 0.2279)
O (0.3743, 0.0720, 0.4470)
O (0.3792, 0.4491, 0.4448)
O (0.3797, 0.0570, 0.9754)
O (0.3907, 0.4554, 0.9678)
O (0.4420, 0.2691, 0.1835)
O (0.7677, 0.9708, 0.3028)
O (0.7872, 0.7673, 0.0865)
O (0.7979, 0.5646, 0.2954)
O (0.8265, 0.2714, 0.0237)
O (0.8515, 0.5359, 0.7694)
O (0.8903, 0.9302, 0.8079)
O (0.9209, 0.2483, 0.4788)
O (0.9750, 0.7812, 0.5775)



# TmGa2Ru2C
Theoretical X-ray powder pattern, Cu Kα, 1.54184 Å. Input: DFT lattice parameters and positions (GGA-PBE).
No peak broadening, texture or thermal motion is included.

Largest 10 diffraction maxima, low angle first, 2θ from 10° to 90°:
| 2theta | d_spacing | I/Imax |
| --- | --- | --- |
| 27.14 | 3.286 | 20 |
| 32.42 | 2.762 | 12 |
| 35.04 | 2.561 | 100 |
| 39.38 | 2.288 | 46 |
| 44.32 | 2.044 | 47 |
| 59.53 | 1.553 | 11 |
| 60.76 | 1.524 | 25 |
| 64.47 | 1.445 | 15 |
| 75.54 | 1.259 | 21 |
| 84.72 | 1.144 | 12 |

a = 4.0877 Å, b = 4.0877 Å, c = 5.5232 Å
α = 90.00°, β = 90.00°, γ = 90.00°
Element x y z (fractional)
Tm (0.0000, 0.0000, 0.0000)
Ga (0.5000, 0.5000, 0.2171)
Ga (0.5000, 0.5000, 0.7829)
Ru (0.0000, 0.5000, 0.5000)
Ru (0.5000, 0.0000, 0.5000)
C (0.0000, 0.0000, 0.5000)



# Ac4La4Pm3
Theoretical X-ray powder pattern, Cu Kα, 1.54184 Å. Input: DFT lattice parameters and positions (GGA-PBE).
No peak broadening, texture or thermal motion is included.

Largest 10 diffraction maxima, low angle first, 2θ from 10° to 90°:
| 2theta | d_spacing | I/Imax |
| --- | --- | --- |
| 23.71 | 3.753 | 34 |
| 27.07 | 3.294 | 21 |
| 28.57 | 3.124 | 100 |
| 29.90 | 2.989 | 48 |
| 30.98 | 2.887 | 40 |
| 31.89 | 2.806 | 38 |
| 36.37 | 2.470 | 46 |
| 48.84 | 1.865 | 22 |
| 58.94 | 1.567 | 18 |
| 59.13 | 1.562 | 20 |

a = 11.6986 Å, b = 11.6986 Å, c = 11.6986 Å
α = 161.65°, β = 118.55°, γ = 64.72°
Element x y z (fractional)
Ac (0.1995, 0.1995, 0.0000)
Ac (0.2707, 0.5000, 0.7707)
Ac (0.7293, 0.5000, 0.2293)
Ac (0.8005, 0.8005, 0.0000)
La (0.0939, 0.3246, 0.7693)
La (0.4446, 0.6754, 0.7693)
La (0.5554, 0.3246, 0.2307)
La (0.9061, 0.6754, 0.2307)
Pm (0.0000, 0.0000, 0.0000)
Pm (0.3992, 0.8992, 0.5000)
Pm (0.6008, 0.1008, 0.5000)



# YbDy3
Theoretical X-ray powder pattern, Cu Kα, 1.54184 Å. Input: DFT lattice parameters and positions (GGA-PBE).
No peak broadening, texture or thermal motion is included.

Largest 10 diffraction maxima, low angle first, 2θ from 10° to 90°:
| 2theta | d_spacing | I/Imax |
| --- | --- | --- |
| 30.77 | 2.906 | 100 |
| 35.68 | 2.517 | 51 |
| 51.35 | 1.779 | 36 |
| 61.06 | 1.518 | 43 |
| 64.09 | 1.453 | 12 |
| 75.46 | 1.260 | 2 |
| 75.62 | 1.257 | 4 |
| 83.77 | 1.155 | 18 |
| 86.38 | 1.126 | 6 |
| 86.52 | 1.125 | 11 |

a = 5.0300 Å, b = 5.0300 Å, c = 10.0785 Å
α = 90.00°, β = 90.00°, γ = 90.00°
Element x y z (fractional)
Yb (0.0000, 0.0000, 0.0000)
Yb (0.5000, 0.5000, 0.5000)
Dy (0.0000, 0.0000, 0.5000)
Dy (0.0000, 0.5000, 0.2500)
Dy (0.0000, 0.5000, 0.7500)
Dy (0.5000, 0.0000, 0.2500)
Dy (0.5000, 0.0000, 0.7500)
Dy (0.5000, 0.5000, 0.0000)



# LiAl2Cu2O6
Theoretical X-ray powder pattern, Cu Kα, 1.54184 Å. Input: DFT lattice parameters and positions (GGA-PBE).
No peak broadening, texture or thermal motion is included.

Largest 10 diffraction maxima, low angle first, 2θ from 10° to 90°:
| 2theta | d_spacing | I/Imax |
| --- | --- | --- |
| 17.52 | 5.063 | 62 |
| 23.43 | 3.797 | 28 |
| 29.40 | 3.038 | 38 |
| 35.82 | 2.507 | 100 |
| 37.31 | 2.410 | 39 |
| 42.81 | 2.112 | 53 |
| 50.91 | 1.794 | 26 |
| 55.70 | 1.650 | 25 |
| 60.91 | 1.521 | 24 |
| 63.39 | 1.467 | 35 |

a = 2.9347 Å, b = 2.9347 Å, c = 15.1897 Å
α = 90.00°, β = 90.00°, γ = 120.00°
Element x y z (fractional)
Li (0.0000, 0.0000, 0.0000)
Al (0.0000, 0.0000, 0.3802)
Al (0.0000, 0.0000, 0.8425)
Cu (0.3333, 0.6667, 0.5762)
Cu (0.6667, 0.3333, 0.1851)
O (0.0000, 0.0000, 0.1268)
O (0.0000, 0.0000, 0.6234)
O (0.3333, 0.6667, 0.4432)
O (0.3333, 0.6667, 0.7934)
O (0.6667, 0.3333, 0.3163)
O (0.6667, 0.3333, 0.9241)



# Tc5Pt
Theoretical X-ray powder pattern, Cu Kα, 1.54184 Å. Input: DFT lattice parameters and positions (GGA-PBE).
No peak broadening, texture or thermal motion is included.

Largest 10 diffraction maxima, low angle first, 2θ from 10° to 90°:
| 2theta | d_spacing | I/Imax |
| --- | --- | --- |
| 21.32 | 4.169 | 6 |
| 29.60 | 3.018 | 7 |
| 37.37 | 2.407 | 26 |
| 41.28 | 2.187 | 25 |
| 42.89 | 2.109 | 100 |
| 56.88 | 1.619 | 15 |
| 67.40 | 1.390 | 17 |
| 76.36 | 1.247 | 18 |
| 82.19 | 1.173 | 19 |
| 83.28 | 1.160 | 14 |

a = 4.8134 Å, b = 4.8134 Å, c = 4.3745 Å
α = 90.00°, β = 90.00°, γ = 120.00°
Element x y z (fractional)
Tc (0.0000, 0.6627, 0.0000)
Tc (0.3333, 0.6667, 0.5000)
Tc (0.3373, 0.3373, 0.0000)
Tc (0.6627, 0.0000, 0.0000)
Tc (0.6667, 0.3333, 0.5000)
Pt (0.0000, 0.0000, 0.5000)